GdErAlIn: computed PXRD pattern (copper Kα), based on the PBE geometry in Alexandria.
Neutral-atom scattering factors, no anomalous dispersion.

Principal peaks in the range 10° ≤ 2θ ≤ 90°, sorted by position:
2θ/deg  d_spacing  I/Imax
24.13  3.688  17
34.39  2.608  100
49.43  1.844  18
61.60  1.506  37
72.50  1.304  11
82.76  1.166  16

abc: 5.215 5.215 5.215
angles: 60.00 60.00 60.00
Fractional coordinates of all 4 atoms:
Gd 0.000 0.000 0.000
Er 0.500 0.500 0.500
Al 0.750 0.750 0.750
In 0.250 0.250 0.250